Entry 1:
This entry pairs a crystal structure of Tb2ErAl3NiGe2 with its computed powder diffractogram. Radiation: Cu Kα, 1.54184 Å. Structure: a GGA-PBE-relaxed structure.

Cell and atoms:
a = 4.182 Å, b = 6.947 Å, c = 6.947 Å
α = 119.97°, β = 90.00°, γ = 90.00°
Fractional positions:
1 Tb 0.000 0.202 0.798
2 Tb 0.000 0.798 0.202
3 Er 0.000 0.604 0.604
4 Al 0.500 0.203 0.431
5 Al 0.500 0.431 0.203
6 Al 0.500 0.973 0.973
7 Ni 0.000 0.205 0.205
8 Ge 0.500 0.536 0.866
9 Ge 0.500 0.866 0.536

The 10 most intense peaks (10 to 90 degrees two-theta), in order of rising 2θ:
| d/Å | 2θ (°) | I (rel.) |
| --- | --- | --- |
| 4.182 | 21.25 | 228 |
| 3.474 | 25.64 | 371 |
| 3.009 | 29.69 | 173 |
| 2.672 | 33.53 | 1000 |
| 2.442 | 36.80 | 674 |
| 2.274 | 39.63 | 232 |
| 2.091 | 43.27 | 226 |
| 2.006 | 45.21 | 212 |
| 1.669 | 55.02 | 174 |
| 1.550 | 59.65 | 249 |


Entry 2:
This entry pairs a crystal structure of Ho2ErAl3Si2Pt with its computed powder diffractogram. Radiation: Cu Kα, 1.54184 Å. Structure: a GGA-PBE-relaxed structure.

Cell and atoms:
a = 4.209 Å, b = 6.878 Å, c = 6.878 Å
α = 119.99°, β = 90.00°, γ = 90.00°
Fractional positions:
1 Ho 0.000 0.209 0.791
2 Ho 0.000 0.791 0.209
3 Er 0.000 0.374 0.374
4 Al 0.500 0.029 0.029
5 Al 0.500 0.553 0.791
6 Al 0.500 0.791 0.553
7 Si 0.500 0.125 0.458
8 Si 0.500 0.458 0.125
9 Pt 0.000 0.790 0.790

The 10 most intense peaks (10 to 90 degrees two-theta), in order of rising 2θ:
| d/Å | 2θ (°) | I (rel.) |
| --- | --- | --- |
| 4.209 | 21.11 | 595 |
| 3.439 | 25.91 | 280 |
| 2.978 | 30.00 | 566 |
| 2.663 | 33.66 | 493 |
| 2.431 | 36.98 | 1000 |
| 1.985 | 45.70 | 369 |
| 1.719 | 53.30 | 296 |
| 1.538 | 60.18 | 356 |
| 1.300 | 72.77 | 391 |
| 1.146 | 84.54 | 233 |